Calculated PXRD pattern of K2Co3Cl9 for Cu Ka, from a cell relaxed with PBE.
Kinematic intensities with the Lorentz-polarization factor, no thermal factor.

Most intense lines, 15 to 90 degrees two-theta, most intense first:
(2 4 1), 33.0°, intensity 100.0
(1 5 2), 37.6°, intensity 93.2
(0 0 2), 20.2°, intensity 80.0
(1 3 -1), 18.9°, intensity 77.4
(3 1 -3), 30.9°, intensity 51.9
(1 5 1), 31.6°, intensity 46.7
(4 0 -4), 41.0°, intensity 46.6
(5 5 -2), 50.2°, intensity 44.0
(2 2 0), 21.3°, intensity 38.2
(1 3 -2), 24.1°, intensity 35.7

Cell: 10.845 16.638 9.893 Å, 90.00 117.27 90.00°
Space group C2/m (No. 12)
Unique sites:
K: 0.070 0.168 0.291 (multiplicity 8)
Co: 0.156 0.500 0.838 (multiplicity 4)
Co: 0.171 0.386 0.194 (multiplicity 8)
Cl: 0.000 0.295 0.000 (multiplicity 4)
Cl: 0.016 0.401 0.292 (multiplicity 8)
Cl: 0.188 0.212 0.651 (multiplicity 8)
Cl: 0.200 0.000 0.672 (multiplicity 4)
Cl: 0.212 0.000 0.278 (multiplicity 4)
Cl: 0.230 0.101 0.973 (multiplicity 8)

Calculated PXRD pattern of LiMg6Ga3 for Cu Ka, from a cell relaxed with PBE.
Kinematic intensities with the Lorentz-polarization factor, no thermal factor.

Most intense lines, 15 to 90 degrees two-theta, most intense first:
(4 2 1), 41.0°, intensity 100.0
(1 1 1), 18.5°, intensity 79.4
(1 3 1), 25.7°, intensity 59.6
(2 4 1), 34.4°, intensity 48.5
(2 2 2), 37.4°, intensity 39.3
(0 4 2), 39.6°, intensity 34.1
(3 1 2), 41.2°, intensity 25.1
(3 3 0), 32.7°, intensity 24.0
(0 0 2), 30.2°, intensity 23.3
(4 8 2), 72.5°, intensity 22.6

Cell: 10.052 14.211 5.927 Å, 90.00 90.00 90.00°
Space group Cmc2_1 (No. 36)
Unique sites:
Li: 0.000 0.236 0.000 (multiplicity 4)
Mg: 0.000 0.057 0.709 (multiplicity 4)
Mg: 0.000 0.279 0.520 (multiplicity 4)
Mg: 0.205 0.484 0.494 (multiplicity 8)
Mg: 0.245 0.307 0.203 (multiplicity 8)
Ga: 0.000 0.419 0.200 (multiplicity 4)
Ga: 0.136 0.124 0.279 (multiplicity 8)

Calculated PXRD pattern of SmLuInHg for Cu Ka, from a cell relaxed with PBE.
Kinematic intensities with the Lorentz-polarization factor, no thermal factor.

Most intense lines, 15 to 90 degrees two-theta, most intense first:
(2 2 0), 33.8°, intensity 100.0
(4 2 2), 60.4°, intensity 37.7
(4 0 0), 48.5°, intensity 18.2
(6 2 0), 81.0°, intensity 16.5
(4 4 0), 71.0°, intensity 11.7
(1 1 1), 20.5°, intensity 3.9
(3 1 1), 39.8°, intensity 2.4
(3 3 1), 53.2°, intensity 1.1
(5 3 1), 74.8°, intensity 0.9
(5 1 1), 64.5°, intensity 0.9

Cell: 7.510 7.510 7.510 Å, 90.00 90.00 90.00°
Space group F-43m (No. 216)
Unique sites:
Sm: 0.000 0.000 0.000 (multiplicity 4)
Lu: 0.000 0.000 0.500 (multiplicity 4)
In: 0.250 0.250 0.750 (multiplicity 4)
Hg: 0.250 0.250 0.250 (multiplicity 4)